# 1
This entry pairs a crystal structure of Hg5Pt4 with its theoretical powder XRD pattern. Radiation: Cu Kα, 1.54184 Å. Structure: a structure optimized by DFT (PBE).
Lines closer than 0.1° are merged.

Cell and atoms:
abc: 8.3592 8.3592 5.7237
angles: 90.00 90.00 120.00
Sites, in units of the cell vectors:
1 Hg 0.0000 0.2835 0.2500
2 Hg 0.0000 0.7165 0.7500
3 Hg 0.2835 0.0000 0.2500
4 Hg 0.2835 0.2835 0.7500
5 Hg 0.3333 0.6667 0.0000
6 Hg 0.3333 0.6667 0.5000
7 Hg 0.6667 0.3333 0.0000
8 Hg 0.6667 0.3333 0.5000
9 Hg 0.7165 0.0000 0.7500
10 Hg 0.7165 0.7165 0.2500
11 Pt 0.0000 0.0000 0.0000
12 Pt 0.0000 0.0000 0.5000
13 Pt 0.0000 0.3877 0.7500
14 Pt 0.0000 0.6123 0.2500
15 Pt 0.3877 0.0000 0.7500
16 Pt 0.3877 0.3877 0.2500
17 Pt 0.6123 0.0000 0.2500
18 Pt 0.6123 0.6123 0.7500

The 8 most intense peaks (10 to 90 degrees two-theta), sorted by position:
2theta  d [Å]  intensity
36.39  2.469  46
37.26  2.413  85
38.11  2.361  100
48.02  1.895  18
54.36  1.688  26
67.75  1.383  27
70.81  1.331  12
77.56  1.231  21

=====

# 2
This entry pairs a crystal structure of ScCBr3 with its theoretical powder XRD pattern. Radiation: Cu Kα, 1.54184 Å. Structure: a structure optimized by DFT (PBE).
Lines closer than 0.1° are merged.

Cell and atoms:
abc: 5.2945 5.2945 5.2945
angles: 90.00 90.00 90.00
Sites, in units of the cell vectors:
1 Sc 0.0000 0.0000 0.0000
2 C 0.5000 0.5000 0.5000
3 Br 0.0000 0.0000 0.5000
4 Br 0.0000 0.5000 0.0000
5 Br 0.5000 0.0000 0.0000

The 8 most intense peaks (10 to 90 degrees two-theta), sorted by position:
2theta  d [Å]  intensity
16.74  5.294  86
29.22  3.057  98
33.86  2.647  100
38.00  2.368  43
48.64  1.872  68
57.75  1.596  41
60.58  1.528  23
81.26  1.184  30

=====

# 3
This entry pairs a crystal structure of Ce2PbAu3 with its theoretical powder XRD pattern. Radiation: Cu Kα, 1.54184 Å. Structure: a structure optimized by DFT (PBE).
Lines closer than 0.1° are merged.

Cell and atoms:
abc: 3.4837 4.8469 8.6229
angles: 90.00 90.00 90.00
Sites, in units of the cell vectors:
1 Ce 0.0000 0.0000 0.0000
2 Ce 0.0000 0.5000 0.4564
3 Pb 0.5000 0.5000 0.8062
4 Au 0.5000 0.0000 0.3094
5 Au 0.5000 0.0000 0.6320
6 Au 0.5000 0.5000 0.1453

The 8 most intense peaks (10 to 90 degrees two-theta), sorted by position:
2theta  d [Å]  intensity
25.57  3.484  28
33.06  2.710  48
33.33  2.688  100
36.34  2.472  95
37.10  2.423  47
44.96  2.016  28
50.53  1.806  29
65.56  1.424  35

=====

# 4
This entry pairs a crystal structure of CaGaAu3 with its theoretical powder XRD pattern. Radiation: Cu Kα, 1.54184 Å. Structure: a structure optimized by DFT (PBE).
Lines closer than 0.1° are merged.

Cell and atoms:
abc: 9.2731 9.2731 9.2731
angles: 90.00 90.00 90.00
Sites, in units of the cell vectors:
1 Ca 0.1090 0.1090 0.1090
2 Ca 0.1090 0.3910 0.6090
3 Ca 0.3910 0.6090 0.1090
4 Ca 0.3910 0.8910 0.6090
5 Ca 0.6090 0.1090 0.3910
6 Ca 0.6090 0.3910 0.8910
7 Ca 0.8910 0.6090 0.3910
8 Ca 0.8910 0.8910 0.8910
9 Ga 0.1097 0.6097 0.8903
10 Ga 0.1097 0.8903 0.3903
11 Ga 0.3903 0.1097 0.8903
12 Ga 0.3903 0.3903 0.3903
13 Ga 0.6097 0.6097 0.6097
14 Ga 0.6097 0.8903 0.1097
15 Ga 0.8903 0.1097 0.6097
16 Ga 0.8903 0.3903 0.1097
17 Au 0.0744 0.7377 0.1379
18 Au 0.0744 0.7623 0.6379
19 Au 0.1379 0.0744 0.7377
20 Au 0.1379 0.4256 0.2377
21 Au 0.2377 0.1379 0.4256
22 Au 0.2377 0.3621 0.9256
23 Au 0.2623 0.6379 0.4256
24 Au 0.2623 0.8621 0.9256
25 Au 0.3621 0.5744 0.7377
26 Au 0.3621 0.9256 0.2377
27 Au 0.4256 0.2377 0.1379
28 Au 0.4256 0.2623 0.6379
29 Au 0.5744 0.7377 0.3621
30 Au 0.5744 0.7623 0.8621
31 Au 0.6379 0.0744 0.7623
32 Au 0.6379 0.4256 0.2623
33 Au 0.7377 0.1379 0.0744
34 Au 0.7377 0.3621 0.5744
35 Au 0.7623 0.6379 0.0744
36 Au 0.7623 0.8621 0.5744
37 Au 0.8621 0.5744 0.7623
38 Au 0.8621 0.9256 0.2623
39 Au 0.9256 0.2377 0.3621
40 Au 0.9256 0.2623 0.8621

The 8 most intense peaks (10 to 90 degrees two-theta), sorted by position:
2theta  d [Å]  intensity
23.50  3.786  58
34.88  2.572  89
36.25  2.478  100
40.09  2.249  88
43.65  2.074  40
44.79  2.024  49
61.66  1.504  29
64.33  1.448  28

=====

# 5
This entry pairs a crystal structure of NaInAsS4 with its theoretical powder XRD pattern. Radiation: Cu Kα, 1.54184 Å. Structure: a structure optimized by DFT (PBE).
Lines closer than 0.1° are merged.

Cell and atoms:
abc: 7.7313 7.7313 7.7313
angles: 119.77 119.37 90.75
Sites, in units of the cell vectors:
1 Na 0.0000 0.0000 0.0000
2 Na 0.5000 0.0000 0.5000
3 In 0.5000 0.0000 0.0000
4 In 0.5000 0.5000 0.5000
5 As 0.1316 0.3816 0.7500
6 As 0.8684 0.6184 0.2500
7 S 0.2429 0.2568 0.5139
8 S 0.2429 0.7291 0.9861
9 S 0.2722 0.7481 0.5241
10 S 0.2760 0.2519 0.0241
11 S 0.7240 0.7481 0.9759
12 S 0.7278 0.2519 0.4759
13 S 0.7571 0.2709 0.0139
14 S 0.7571 0.7432 0.4861

The 8 most intense peaks (10 to 90 degrees two-theta), sorted by position:
2theta  d [Å]  intensity
13.99  6.332  49
22.79  3.902  35
23.01  3.865  28
26.93  3.311  100
27.15  3.284  67
32.55  2.751  36
42.68  2.119  38
47.02  1.933  77

=====

# 6
This entry pairs a crystal structure of ZnCdSb2 with its theoretical powder XRD pattern. Radiation: Cu Kα, 1.54184 Å. Structure: a structure optimized by DFT (PBE).
Lines closer than 0.1° are merged.

Cell and atoms:
abc: 5.5334 6.6451 11.5039
angles: 90.00 90.00 90.00
Sites, in units of the cell vectors:
1 Zn 0.0000 0.0966 0.1050
2 Zn 0.0000 0.9034 0.8950
3 Zn 0.5000 0.0966 0.3950
4 Zn 0.5000 0.9034 0.6050
5 Cd 0.0000 0.4367 0.6470
6 Cd 0.0000 0.5633 0.3530
7 Cd 0.5000 0.4367 0.8530
8 Cd 0.5000 0.5633 0.1470
9 Sb 0.0000 0.1184 0.3396
10 Sb 0.0000 0.3368 0.9147
11 Sb 0.0000 0.6632 0.0853
12 Sb 0.0000 0.8816 0.6604
13 Sb 0.5000 0.1184 0.1604
14 Sb 0.5000 0.3368 0.5853
15 Sb 0.5000 0.6632 0.4147
16 Sb 0.5000 0.8816 0.8396

The 8 most intense peaks (10 to 90 degrees two-theta), sorted by position:
2theta  d [Å]  intensity
27.95  3.192  97
28.32  3.152  51
31.10  2.876  51
32.36  2.766  100
35.76  2.511  33
43.28  2.091  58
44.78  2.024  71
45.49  1.994  35

=====

# 7
This entry pairs a crystal structure of Pm6Nd3Pu with its theoretical powder XRD pattern. Radiation: Cu Kα, 1.54184 Å. Structure: a structure optimized by DFT (PBE).
Lines closer than 0.1° are merged.

Cell and atoms:
abc: 7.0042 7.0042 7.0042
angles: 91.02 91.02 91.02
Sites, in units of the cell vectors:
1 Pm 0.0001 0.3160 0.6839
2 Pm 0.1720 0.8280 0.5003
3 Pm 0.3160 0.6839 0.0001
4 Pm 0.5003 0.1720 0.8280
5 Pm 0.6839 0.0001 0.3160
6 Pm 0.8280 0.5003 0.1720
7 Nd 0.2405 0.2405 0.2405
8 Nd 0.4995 0.4995 0.4995
9 Nd 0.7582 0.7582 0.7582
10 Pu 0.9994 0.9994 0.9994

The 8 most intense peaks (10 to 90 degrees two-theta), sorted by position:
2theta  d [Å]  intensity
28.71  3.109  60
31.00  2.885  100
31.77  2.816  19
40.98  2.202  16
42.76  2.115  20
53.75  1.706  20
55.15  1.666  19
56.24  1.636  15

=====

# 8
This entry pairs a crystal structure of Sr2Li2Nb3O10 with its theoretical powder XRD pattern. Radiation: Cu Kα, 1.54184 Å. Structure: a structure optimized by DFT (PBE).
Lines closer than 0.1° are merged.

Cell and atoms:
abc: 13.6229 13.6229 13.6229
angles: 162.97 162.97 24.17
Sites, in units of the cell vectors:
1 Sr 0.0821 0.0821 0.0000
2 Sr 0.9179 0.9179 0.0000
3 Li 0.2500 0.7500 0.5000
4 Li 0.7500 0.2500 0.5000
5 Nb 0.3425 0.3425 0.0000
6 Nb 0.5000 0.5000 0.0000
7 Nb 0.6575 0.6575 0.0000
8 O 0.0000 0.5000 0.5000
9 O 0.1495 0.6495 0.5000
10 O 0.2713 0.2713 0.0000
11 O 0.3505 0.8505 0.5000
12 O 0.4235 0.4235 0.0000
13 O 0.5000 0.0000 0.5000
14 O 0.5765 0.5765 0.0000
15 O 0.6495 0.1495 0.5000
16 O 0.7287 0.7287 0.0000
17 O 0.8505 0.3505 0.5000

The 8 most intense peaks (10 to 90 degrees two-theta), sorted by position:
2theta  d [Å]  intensity
27.74  3.216  100
31.36  2.852  78
32.34  2.768  98
44.95  2.017  63
52.21  1.752  31
53.64  1.709  31
56.45  1.630  41
62.19  1.493  29

=====

# 9
This entry pairs a crystal structure of Ho3Zn2Cd3 with its theoretical powder XRD pattern. Radiation: Cu Kα, 1.54184 Å. Structure: a structure optimized by DFT (PBE).
Lines closer than 0.1° are merged.

Cell and atoms:
abc: 7.5764 7.5764 3.7832
angles: 90.00 90.00 120.00
Sites, in units of the cell vectors:
1 Ho 0.0000 0.4052 0.0000
2 Ho 0.4052 0.0000 0.0000
3 Ho 0.5948 0.5948 0.0000
4 Zn 0.3333 0.6667 0.5000
5 Zn 0.6667 0.3333 0.5000
6 Cd 0.0000 0.7641 0.5000
7 Cd 0.2359 0.2359 0.5000
8 Cd 0.7641 0.0000 0.5000

The 8 most intense peaks (10 to 90 degrees two-theta), sorted by position:
2theta  d [Å]  intensity
27.21  3.278  15
33.48  2.677  91
36.23  2.479  100
48.09  1.892  18
56.08  1.640  27
61.66  1.504  29
66.90  1.399  15
71.99  1.312  13

=====

# 10
This entry pairs a crystal structure of Mn5Zn with its theoretical powder XRD pattern. Radiation: Cu Kα, 1.54184 Å. Structure: a structure optimized by DFT (PBE).
Lines closer than 0.1° are merged.

Cell and atoms:
abc: 4.4166 4.4166 7.0689
angles: 113.59 113.59 33.52
Sites, in units of the cell vectors:
1 Mn 0.0000 0.0000 0.0000
2 Mn 0.0013 0.0013 0.5242
3 Mn 0.3340 0.3340 0.6838
4 Mn 0.6549 0.6549 0.8287
5 Mn 0.6636 0.6636 0.3577
6 Zn 0.3306 0.3306 0.1753

The 8 most intense peaks (10 to 90 degrees two-theta), sorted by position:
2theta  d [Å]  intensity
38.66  2.329  2
43.64  2.074  100
43.81  2.066  99
50.54  1.806  64
51.73  1.767  28
74.03  1.281  9
74.51  1.274  9
75.23  1.263  33

=====

# 11
This entry pairs a crystal structure of Zr12Cd3Ag with its theoretical powder XRD pattern. Radiation: Cu Kα, 1.54184 Å. Structure: a structure optimized by DFT (PBE).
Lines closer than 0.1° are merged.

Cell and atoms:
abc: 4.4475 4.4475 17.8145
angles: 90.00 90.00 90.00
Sites, in units of the cell vectors:
1 Zr 0.0000 0.0000 0.0000
2 Zr 0.0000 0.0000 0.2477
3 Zr 0.0000 0.0000 0.5000
4 Zr 0.0000 0.0000 0.7523
5 Zr 0.0000 0.5000 0.1229
6 Zr 0.0000 0.5000 0.3745
7 Zr 0.0000 0.5000 0.6255
8 Zr 0.0000 0.5000 0.8771
9 Zr 0.5000 0.0000 0.1229
10 Zr 0.5000 0.0000 0.3745
11 Zr 0.5000 0.0000 0.6255
12 Zr 0.5000 0.0000 0.8771
13 Cd 0.5000 0.5000 0.2489
14 Cd 0.5000 0.5000 0.5000
15 Cd 0.5000 0.5000 0.7511
16 Ag 0.5000 0.5000 0.0000

The 8 most intense peaks (10 to 90 degrees two-theta), sorted by position:
2theta  d [Å]  intensity
19.95  4.450  1
34.93  2.569  100
40.55  2.225  49
58.69  1.573  32
70.15  1.342  37
73.77  1.284  10
87.64  1.113  2
87.79  1.112  3

=====

# 12
This entry pairs a crystal structure of HfMo with its theoretical powder XRD pattern. Radiation: Cu Kα, 1.54184 Å. Structure: a structure optimized by DFT (PBE).
Lines closer than 0.1° are merged.

Cell and atoms:
abc: 7.5201 7.5201 3.3361
angles: 90.00 90.00 144.07
Sites, in units of the cell vectors:
1 Hf 0.0000 0.0000 0.0000
2 Hf 0.1767 0.8233 0.5000
3 Hf 0.8233 0.1767 0.5000
4 Mo 0.3475 0.6525 0.0000
5 Mo 0.5000 0.5000 0.5000
6 Mo 0.6525 0.3475 0.0000

The 8 most intense peaks (10 to 90 degrees two-theta), sorted by position:
2theta  d [Å]  intensity
37.73  2.384  23
38.21  2.355  100
38.82  2.320  25
55.05  1.668  9
55.25  1.663  15
68.43  1.371  14
69.89  1.346  17
81.79  1.178  10